1.
Structure and theoretical X-ray powder pattern of La2InPb4 (a DFT-relaxed cell (PBE, Alexandria); Cu Ka).

Cell: 6.545 10.795 12.982 Å, 90.00 90.00 90.00°
Space group Fmmm (No. 69)
Inequivalent atoms, fractional coordinates:
La 0.000 0.000 0.148 [8 per cell]
In 0.000 0.000 0.500 [4 per cell]
Pb 0.250 0.250 0.000 [8 per cell]
Pb 0.250 0.250 0.250 [8 per cell]

Main lines, in order of rising 2θ (10° ≤ 2θ ≤ 90°):
| index | 2theta | d/Å | I/Imax |
| --- | --- | --- | --- |
| 0 2 0 | 16.4 | 5.397 | 29 |
| 1 1 3 | 26.0 | 3.423 | 33 |
| 0 0 4 | 27.5 | 3.246 | 25 |
| 2 2 0 | 32.0 | 2.798 | 100 |
| 0 2 4 | 32.2 | 2.781 | 58 |
| 0 4 0 | 33.2 | 2.699 | 45 |
| 2 0 4 | 39.1 | 2.304 | 35 |
| 2 2 4 | 42.7 | 2.119 | 32 |
| 2 4 4 | 52.2 | 1.752 | 31 |
| 2 2 8 | 66.6 | 1.404 | 19 |

***

2.
Structure and theoretical X-ray powder pattern of La4InPb3 (a DFT-relaxed cell (PBE, Alexandria); Cu Ka).

Cell: 15.303 6.003 6.005 Å, 90.00 112.89 90.00°
Space group C2/m (No. 12)
Inequivalent atoms, fractional coordinates:
La 0.128 0.000 0.128 [4 per cell]
La 0.128 0.500 0.628 [4 per cell]
In 0.000 0.000 0.500 [2 per cell]
Pb 0.000 0.500 0.000 [2 per cell]
Pb 0.246 0.000 0.746 [4 per cell]

Main lines, in order of rising 2θ (10° ≤ 2θ ≤ 90°):
| index | 2theta | d/Å | I/Imax |
| --- | --- | --- | --- |
| 0 2 0 | 29.8 | 3.002 | 66 |
| 3 1 1 | 33.0 | 2.712 | 100 |
| 2 2 -2 | 42.6 | 2.123 | 25 |
| 8 0 0 | 51.9 | 1.762 | 7 |
| 3 3 1 | 54.9 | 1.673 | 24 |
| 7 1 -3 | 55.0 | 1.670 | 24 |
| 8 2 0 | 61.0 | 1.520 | 9 |
| 0 4 0 | 61.8 | 1.501 | 8 |
| 4 2 -4 | 70.1 | 1.342 | 12 |
| 3 5 1 | 87.3 | 1.117 | 7 |

***

3.
Structure and theoretical X-ray powder pattern of La3InPb3 (a DFT-relaxed cell (PBE, Alexandria); Cu Ka).

Cell: 9.2550 9.2550 5.9953 Å, 90.00 90.00 120.00°
Space group P6_3/m (No. 176)
Inequivalent atoms, fractional coordinates:
La 0.0898 0.6406 0.2500 [6 per cell]
In 0.3333 0.6667 0.7500 [2 per cell]
Pb 0.0580 0.8031 0.7500 [6 per cell]

Main lines, in order of rising 2θ (10° ≤ 2θ ≤ 90°):
| index | 2theta | d/Å | I/Imax |
| --- | --- | --- | --- |
| 1 2 0 | 29.5 | 3.029 | 23 |
| 0 0 2 | 29.8 | 2.998 | 31 |
| 1 2 1 | 33.1 | 2.704 | 100 |
| 1 2 2 | 42.4 | 2.131 | 17 |
| 4 1 0 | 52.3 | 1.749 | 16 |
| 1 2 3 | 55.1 | 1.668 | 24 |
| 4 1 2 | 61.4 | 1.511 | 20 |
| 2 4 1 | 63.3 | 1.469 | 14 |
| 4 1 4 | 85.3 | 1.138 | 8 |
| 5 3 1 | 86.5 | 1.125 | 10 |

***

4.
Structure and theoretical X-ray powder pattern of LaInPd3Pb (a DFT-relaxed cell (PBE, Alexandria); Cu Ka).

Cell: 5.983 13.075 7.154 Å, 90.00 90.00 90.00°
Space group Cmcm (No. 63)
Inequivalent atoms, fractional coordinates:
La 0.000 0.155 0.250 [4 per cell]
In 0.000 0.409 0.250 [4 per cell]
Pd 0.000 0.366 0.750 [4 per cell]
Pd 0.232 0.000 0.000 [8 per cell]
Pb 0.000 0.153 0.750 [4 per cell]

Main lines, in order of rising 2θ (10° ≤ 2θ ≤ 90°):
| index | 2theta | d/Å | I/Imax |
| --- | --- | --- | --- |
| 0 0 2 | 24.9 | 3.577 | 33 |
| 0 2 2 | 28.4 | 3.138 | 35 |
| 2 0 0 | 29.9 | 2.992 | 22 |
| 2 2 0 | 32.9 | 2.720 | 23 |
| 1 3 2 | 35.8 | 2.510 | 27 |
| 0 4 2 | 37.3 | 2.413 | 82 |
| 2 0 2 | 39.3 | 2.295 | 100 |
| 2 4 0 | 40.9 | 2.207 | 62 |
| 0 0 4 | 51.1 | 1.788 | 24 |
| 2 4 4 | 67.4 | 1.389 | 28 |

***

5.
Structure and theoretical X-ray powder pattern of LaTmInPb (a DFT-relaxed cell (PBE, Alexandria); Cu Ka).

Cell: 5.069 5.069 8.978 Å, 90.00 90.00 90.00°
Space group I-4m2 (No. 119)
Inequivalent atoms, fractional coordinates:
La 0.000 0.000 0.000 [2 per cell]
Tm 0.000 0.000 0.500 [2 per cell]
In 0.000 0.500 0.750 [2 per cell]
Pb 0.000 0.500 0.250 [2 per cell]

Main lines, in order of rising 2θ (10° ≤ 2θ ≤ 90°):
| index | 2theta | d/Å | I/Imax |
| --- | --- | --- | --- |
| 1 1 2 | 32.0 | 2.801 | 100 |
| 2 0 0 | 35.4 | 2.534 | 38 |
| 0 0 4 | 40.2 | 2.245 | 13 |
| 2 2 0 | 51.0 | 1.792 | 14 |
| 2 0 4 | 54.6 | 1.680 | 22 |
| 3 1 2 | 61.4 | 1.510 | 31 |
| 2 2 4 | 66.8 | 1.400 | 12 |
| 1 1 6 | 67.9 | 1.381 | 11 |
| 3 3 2 | 83.8 | 1.155 | 7 |
| 3 1 6 | 89.6 | 1.094 | 12 |

***

6.
Structure and theoretical X-ray powder pattern of LaYInPb (a DFT-relaxed cell (PBE, Alexandria); Cu Ka).

Cell: 5.110 5.110 8.979 Å, 90.00 90.00 90.00°
Space group I-4m2 (No. 119)
Inequivalent atoms, fractional coordinates:
La 0.000 0.000 0.000 [2 per cell]
Y 0.000 0.000 0.500 [2 per cell]
In 0.000 0.500 0.250 [2 per cell]
Pb 0.000 0.500 0.750 [2 per cell]

Main lines, in order of rising 2θ (10° ≤ 2θ ≤ 90°):
| index | 2theta | d/Å | I/Imax |
| --- | --- | --- | --- |
| 1 0 1 | 20.0 | 4.441 | 9 |
| 1 1 2 | 31.8 | 2.815 | 100 |
| 2 0 0 | 35.1 | 2.555 | 38 |
| 0 0 4 | 40.2 | 2.245 | 13 |
| 2 2 0 | 50.5 | 1.807 | 14 |
| 2 0 4 | 54.4 | 1.686 | 22 |
| 3 1 2 | 60.9 | 1.520 | 31 |
| 2 2 4 | 66.4 | 1.407 | 12 |
| 1 1 6 | 67.8 | 1.383 | 11 |
| 3 1 6 | 89.2 | 1.098 | 11 |